For Li3Fe7O12, a crystal structure in Alexandria, relaxed with GGA+U gives the computed PXRD pattern in this record (a wavelength of 1.5418 Å).

Main lines, by angle (2θ from 10° to 80°):
4.824 Å, 2θ 18.39, intensity 35.9; 4.467 Å, 2θ 19.88, intensity 19.6; 4.254 Å, 2θ 20.88, intensity 13.2; 3.793 Å, 2θ 23.45, intensity 27.2; 2.427 Å, 2θ 37.04, intensity 17.6; 2.097 Å, 2θ 43.14, intensity 100.0; 1.484 Å, 2θ 62.59, intensity 18.4; 1.481 Å, 2θ 62.75, intensity 17.0

Structural model:
```
Li3Fe7O12
1.0
2.568 -4.467 0.000
2.568 4.467 0.000
-1.702 0.000 9.647
Li Fe O
3 7 12
Cartesian
0.000 0.000 0.000
0.805 1.501 2.324
2.628 1.501 7.323
1.717 3.040 4.824
2.568 1.388 0.000
0.844 -1.478 2.292
1.717 0.030 4.824
2.568 -1.451 0.000
1.717 -2.938 4.824
2.589 -1.478 7.355
1.810 2.806 1.225
0.072 0.011 3.802
0.836 1.651 5.867
1.623 2.806 8.422
1.684 -0.094 1.105
2.597 1.651 3.780
1.009 -1.555 5.961
1.749 -0.094 8.542
1.724 -2.817 1.120
2.424 -1.555 3.687
3.361 0.011 5.845
1.709 -2.817 8.528
```